Theoretical powder XRD pattern of SiPd for CuKα, from a structure optimized by DFT (PBE).

Main lines, by angle (2θ = 10–90°):
two_theta, intensity, index
15.13, 64, 1 1 0
21.46, 73, 2 0 0
30.88, 100, 2 1 1
34.24, 36, 3 1 0
38.76, 37, 0 0 2
46.53, 28, 3 3 0
49.44, 80, 4 1 1
62.11, 23, 3 3 2

Structure:
```
data_SiPd
_cell_length_a 8.2809
_cell_length_b 8.2809
_cell_length_c 4.6463
_cell_angle_alpha 90.00
_cell_angle_beta 90.00
_cell_angle_gamma 90.00
_space_group_name_H-M_alt 'I 4/m c m'
_space_group_IT_number 140
_space_group_name_Hall '-I 4 2c'
loop_
_atom_site_label
_atom_site_type_symbol
_atom_site_fract_x
_atom_site_fract_y
_atom_site_fract_z
Si1 Si 0.1109 0.3891 0.0000
Pd1 Pd 0.1786 0.3214 0.5000
```


Theoretical powder XRD pattern of Nd3TmAl2 for CuKα, from a structure optimized by DFT (PBE).

Main lines, by angle (2θ = 10–90°):
two_theta, intensity, index
23.53, 33, 1 1 1
28.44, 31, 1 2 1
31.89, 23, 1 0 2
32.51, 100, 1 3 0
33.22, 70, 1 1 2
34.45, 40, 2 0 0
48.13, 22, 2 2 2
60.96, 21, 3 1 2

Structure:
```
data_Nd3TmAl2
_cell_length_a 5.2067
_cell_length_b 9.7458
_cell_length_c 6.6635
_cell_angle_alpha 90.00
_cell_angle_beta 90.00
_cell_angle_gamma 90.00
_space_group_name_H-M_alt 'P m c 21'
_space_group_IT_number 26
_space_group_name_Hall 'P 2c -2'
loop_
_atom_site_label
_atom_site_type_symbol
_atom_site_fract_x
_atom_site_fract_y
_atom_site_fract_z
Nd1 Nd 0.0000 0.0401 0.0000
Nd2 Nd 0.0000 0.3325 0.3338
Nd3 Nd 0.5000 0.1803 0.7178
Tm1 Tm 0.5000 0.4564 0.0492
Al1 Al 0.0000 0.3527 0.8233
Al2 Al 0.5000 0.1512 0.2319
```


Theoretical powder XRD pattern of Ba8TeIr2 for CuKα, from a structure optimized by DFT (PBE).

Main lines, by angle (2θ = 10–90°):
two_theta, intensity, index
15.52, 33, 0 1 1
18.60, 50, 1 1 0
21.51, 48, 2 0 0
21.76, 49, 1 1 1
24.31, 100, 2 0 1
31.33, 60, 0 2 2
37.72, 79, 2 2 0
40.62, 74, 0 2 3

Structure:
```
data_Ba8TeIr2
_cell_length_a 9.5388
_cell_length_b 9.5388
_cell_length_c 7.9037
_cell_angle_alpha 90.00
_cell_angle_beta 90.00
_cell_angle_gamma 120.00
_space_group_name_H-M_alt 'P -3 m 1'
_space_group_IT_number 164
_space_group_name_Hall '-P 3 2"'
loop_
_atom_site_label
_atom_site_type_symbol
_atom_site_fract_x
_atom_site_fract_y
_atom_site_fract_z
Ba1 Ba 0.1723 0.3447 0.2403
Ba2 Ba 0.3333 0.6667 0.7468
Te1 Te 0.0000 0.0000 0.5000
Ir1 Ir 0.3333 0.6667 0.3841
```


Theoretical powder XRD pattern of BeIrAu for CuKα, from a structure optimized by DFT (PBE).

Main lines, by angle (2θ = 10–90°):
two_theta, intensity, index
28.16, 93, 0 1 0
36.45, 96, 1 0 1
36.81, 46, 0 0 2
46.69, 100, 1 1 1
46.98, 48, 0 1 2
70.67, 29, 1 2 1
73.31, 24, 1 1 3
84.32, 19, 2 1 2

Structure:
```
data_BeIrAu
_cell_length_a 2.8550
_cell_length_b 3.1692
_cell_length_c 4.8830
_cell_angle_alpha 90.00
_cell_angle_beta 90.00
_cell_angle_gamma 90.00
_space_group_name_H-M_alt 'P m m 2'
_space_group_IT_number 25
_space_group_name_Hall 'P 2 -2'
loop_
_atom_site_label
_atom_site_type_symbol
_atom_site_fract_x
_atom_site_fract_y
_atom_site_fract_z
Be1 Be 0.0000 0.0000 0.0000
Ir1 Ir 0.5000 0.5000 0.8388
Au1 Au 0.0000 0.5000 0.3625
```


Theoretical powder XRD pattern of Er5Tm4In4 for CuKα, from a structure optimized by DFT (PBE).

Main lines, by angle (2θ = 10–90°):
two_theta, intensity, index
29.65, 8, 4 0 0
32.17, 100, 3 2 1
35.53, 12, 4 1 1
35.74, 23, 0 0 2
38.08, 18, 1 5 0
53.21, 14, 1 5 2
58.73, 11, 2 7 1
61.97, 15, 3 2 3

Structure:
```
data_Er5Tm4In4
_cell_length_a 12.0509
_cell_length_b 12.0509
_cell_length_c 5.0247
_cell_angle_alpha 90.00
_cell_angle_beta 90.00
_cell_angle_gamma 90.00
_space_group_name_H-M_alt 'I 4/m'
_space_group_IT_number 87
_space_group_name_Hall '-I 4'
loop_
_atom_site_label
_atom_site_type_symbol
_atom_site_fract_x
_atom_site_fract_y
_atom_site_fract_z
Er1 Er 0.0000 0.0000 0.0000
Er2 Er 0.0948 0.1861 0.5000
Tm1 Tm 0.0976 0.3935 0.0000
In1 In 0.1082 0.7652 0.0000
```


Theoretical powder XRD pattern of Y4TmTe5 for CuKα, from a structure optimized by DFT (PBE).

Main lines, by angle (2θ = 10–90°):
two_theta, intensity, index
28.92, 100, 3 1 0
29.12, 51, 0 0 2
41.36, 36, 2 4 0
41.51, 74, 3 1 2
51.38, 38, 2 4 2
67.99, 15, 6 2 2
68.31, 17, 3 1 4
75.52, 21, 5 5 2

Structure:
```
data_Y4TmTe5
_cell_length_a 9.7623
_cell_length_b 9.7623
_cell_length_c 6.1329
_cell_angle_alpha 90.00
_cell_angle_beta 90.00
_cell_angle_gamma 90.00
_space_group_name_H-M_alt 'I 4/m'
_space_group_IT_number 87
_space_group_name_Hall '-I 4'
loop_
_atom_site_label
_atom_site_type_symbol
_atom_site_fract_x
_atom_site_fract_y
_atom_site_fract_z
Y1 Y 0.0913 0.6824 0.0000
Tm1 Tm 0.0000 0.0000 0.5000
Te1 Te 0.0000 0.0000 0.0000
Te2 Te 0.1092 0.7112 0.5000
```